[1]
The following is a theoretical X-ray powder pattern of SiO2. It was derived from the GGA-PBE geometry in the Materials Project, using Cu Kα, 1.54184 Å.
No peak broadening, texture or thermal motion is included.

Largest 6 diffraction maxima, in order of rising 2θ, 2θ from 10° to 90°:
2θ/deg, I/Imax, (hkl)
16.60, 100.0, 3 0 0
18.40, 95.6, 2 1 1
22.94, 65.8, 0 1 2
24.94, 79.3, 2 0 2
30.11, 40.1, 3 1 2
34.98, 41.7, 5 2 0

Atomic structure:
```
data_SiO2
_cell_length_a 18.4965
_cell_length_b 18.4965
_cell_length_c 7.9786
_cell_angle_alpha 90.00
_cell_angle_beta 90.00
_cell_angle_gamma 120.00
_space_group_name_H-M_alt 'R -3 c'
_space_group_IT_number 167
_space_group_name_Hall '-R 3 2"c'
loop_
_atom_site_label
_atom_site_type_symbol
_atom_site_fract_x
_atom_site_fract_y
_atom_site_fract_z
_atom_site_occupancy
Si1 Si 0.0082 0.4206 0.4489 1
O1 O 0.0000 0.2293 0.7500 1
O2 O 0.0000 0.2832 0.2500 1
O3 O 0.0000 0.4299 0.2500 1
O4 O 0.0000 0.5000 0.0000 1
```

***

[2]
The following is a theoretical X-ray powder pattern of Ag2S. It was derived from the GGA-PBE geometry in the Materials Project, using Cu Kα, 1.54184 Å.
No peak broadening, texture or thermal motion is included.

Largest 6 diffraction maxima, in order of rising 2θ, 2θ from 10° to 90°:
2θ/deg, I/Imax, (hkl)
28.57, 73.9, 2 0 0
40.85, 100.0, 2 2 0
50.61, 19.6, 2 2 2
59.15, 15.8, 4 0 0
66.98, 24.3, 4 2 0
74.38, 31.4, 4 2 2

Atomic structure:
```
data_Ag2S
_cell_length_a 6.248
_cell_length_b 6.248
_cell_length_c 6.248
_cell_angle_alpha 90.00
_cell_angle_beta 90.00
_cell_angle_gamma 90.00
_space_group_name_H-M_alt 'F m -3 m'
_space_group_IT_number 225
_space_group_name_Hall '-F 4 2 3'
loop_
_atom_site_label
_atom_site_type_symbol
_atom_site_fract_x
_atom_site_fract_y
_atom_site_fract_z
_atom_site_occupancy
Ag1 Ag 0.250 0.250 0.250 1
S1 S 0.000 0.000 0.000 1
```

***

[3]
The following is a theoretical X-ray powder pattern of Ho3Ru. It was derived from the GGA-PBE geometry in the Materials Project, using Cu Kα, 1.54184 Å.
No peak broadening, texture or thermal motion is included.

Largest 6 diffraction maxima, in order of rising 2θ, 2θ from 10° to 90°:
2θ/deg, I/Imax, (hkl)
30.02, 29.8, 2 1 1
31.14, 28.5, 1 0 2
31.40, 36.4, 2 2 0
32.70, 100.0, 0 3 1
34.60, 39.8, 2 2 1
35.02, 33.8, 1 3 1

Atomic structure:
```
data_Ho3Ru
_cell_length_a 7.291
_cell_length_b 9.134
_cell_length_c 6.249
_cell_angle_alpha 90.00
_cell_angle_beta 90.00
_cell_angle_gamma 90.00
_space_group_name_H-M_alt 'P n m a'
_space_group_IT_number 62
loop_
_space_group_symop_operation_xyz
'x,y,z'
'-x,-y,-z'
'-x+1/2,-y,z+1/2'
'x+1/2,y,-z+1/2'
'x+1/2,-y+1/2,-z+1/2'
'-x+1/2,y+1/2,z+1/2'
'-x,y+1/2,-z'
'x,-y+1/2,z'
loop_
_atom_site_label
_atom_site_type_symbol
_atom_site_fract_x
_atom_site_fract_y
_atom_site_fract_z
_atom_site_occupancy
Ho1 Ho 0.039 0.250 0.136 1
Ho2 Ho 0.176 0.065 0.670 1
Ru1 Ru 0.118 0.750 0.458 1
```